No. 1
Structure and computed powder diffraction line list of Al3Tc4B2 (DFT lattice parameters and positions (GGA-PBE); CuKα).

Top 8 peaks for 15 to 90 degrees two-theta, in order of rising 2θ:
| Position (°2θ) | Rel. int. |
| --- | --- |
| 29.1 | 37 |
| 29.9 | 47 |
| 39.2 | 34 |
| 42.3 | 100 |
| 42.9 | 15 |
| 49.6 | 16 |
| 60.4 | 12 |
| 73.3 | 15 |

Structural model:
a b c (Å): 6.0463 3.0651 6.3194
angles (deg): 90.00 109.29 90.00
Space group P2/m (No. 10)
Symmetry-distinct sites (fractional):
1 Al 0.0000 0.0000 0.0000 (multiplicity 1)
2 Al 0.2784 0.0000 0.4832 (multiplicity 2)
3 Tc 0.0932 0.5000 0.7189 (multiplicity 2)
4 Tc 0.4078 0.5000 0.1898 (multiplicity 2)
5 B 0.3525 0.0000 0.9010 (multiplicity 2)

---

No. 2
Structure and computed powder diffraction line list of ZrAl2B6 (DFT lattice parameters and positions (GGA-PBE); CuKα).

Top 8 peaks for 15 to 90 degrees two-theta, in order of rising 2θ:
| Position (°2θ) | Rel. int. |
| --- | --- |
| 16.3 | 70 |
| 18.8 | 100 |
| 20.5 | 82 |
| 25.2 | 78 |
| 37.9 | 58 |
| 39.2 | 71 |
| 43.0 | 92 |
| 46.0 | 91 |

Structural model:
a b c (Å): 9.4268 10.8945 3.5374
angles (deg): 90.00 90.00 90.00
Space group Pbam (No. 55)
Symmetry-distinct sites (fractional):
1 Zr 0.1621 0.1815 0.0000 (multiplicity 4)
2 Al 0.0428 0.6233 0.0000 (multiplicity 4)
3 Al 0.1306 0.9040 0.0000 (multiplicity 4)
4 B 0.0108 0.7923 0.5000 (multiplicity 4)
5 B 0.0647 0.0568 0.5000 (multiplicity 4)
6 B 0.0866 0.4792 0.5000 (multiplicity 4)
7 B 0.1299 0.3302 0.5000 (multiplicity 4)
8 B 0.1908 0.7579 0.5000 (multiplicity 4)
9 B 0.2150 0.5842 0.5000 (multiplicity 4)

---

No. 3
Structure and computed powder diffraction line list of BaAlCdPt2 (DFT lattice parameters and positions (GGA-PBE); CuKα).

Top 8 peaks for 15 to 90 degrees two-theta, in order of rising 2θ:
| Position (°2θ) | Rel. int. |
| --- | --- |
| 21.3 | 50 |
| 28.3 | 59 |
| 30.6 | 100 |
| 32.3 | 57 |
| 40.4 | 71 |
| 42.4 | 44 |
| 44.0 | 55 |
| 51.5 | 47 |

Structural model:
a b c (Å): 4.4633 4.4633 11.5856
angles (deg): 90.00 90.00 90.00
Space group I-4m2 (No. 119)
Symmetry-distinct sites (fractional):
1 Ba 0.0000 0.0000 0.0000 (multiplicity 2)
2 Al 0.0000 0.5000 0.7500 (multiplicity 2)
3 Cd 0.0000 0.5000 0.2500 (multiplicity 2)
4 Pt 0.0000 0.0000 0.3814 (multiplicity 4)

---

No. 4
Structure and computed powder diffraction line list of Ba5Al2In2IrClO13 (DFT lattice parameters and positions (GGA-PBE); CuKα).

Top 8 peaks for 15 to 90 degrees two-theta, in order of rising 2θ:
| Position (°2θ) | Rel. int. |
| --- | --- |
| 17.5 | 23 |
| 24.8 | 25 |
| 30.3 | 24 |
| 30.5 | 100 |
| 33.4 | 22 |
| 39.7 | 32 |
| 42.0 | 29 |
| 54.1 | 28 |

Structural model:
a b c (Å): 5.8659 5.8659 25.3082
angles (deg): 90.00 90.00 120.00
Space group P6_3/mmc (No. 194)
Symmetry-distinct sites (fractional):
1 Ba 0.0000 0.0000 0.2500 (multiplicity 2)
2 Ba 0.3333 0.6667 0.0402 (multiplicity 4)
3 Ba 0.3333 0.6667 0.6320 (multiplicity 4)
4 Al 0.3333 0.6667 0.1820 (multiplicity 4)
5 In 0.0000 0.0000 0.1120 (multiplicity 4)
6 Ir 0.0000 0.0000 0.0000 (multiplicity 2)
7 Cl 0.3333 0.6667 0.7500 (multiplicity 2)
8 O 0.1568 0.3137 0.5476 (multiplicity 12)
9 O 0.1727 0.3453 0.1559 (multiplicity 12)
10 O 0.3333 0.6667 0.2500 (multiplicity 2)